Starting from the PBE geometry in the Materials Project, the X-ray powder pattern of CaBeGe was computed for λ = 1.5418 Å (Cu Kα).
Neutral-atom scattering factors, no anomalous dispersion.

Structure:
abc: 3.9671 3.9671 4.3273
angles: 90.00 90.00 120.00
Element x y z (fractional)
Ca1 0.0000 0.0000 0.0000
Be1 0.6667 0.3333 0.5000
Ge1 0.3333 0.6667 0.5000

Largest 10 diffraction maxima, in order of rising 2θ, 2θ = 10–90°:
- 2θ = 20.52°, rel. 8, (0 0 1)
- 2θ = 25.93°, rel. 32, (1 0 0)
- 2θ = 33.30°, rel. 100, (1 0 1)
- 2θ = 41.75°, rel. 13, (0 0 2)
- 2θ = 45.74°, rel. 29, (1 1 0)
- 2θ = 49.80°, rel. 11, (1 0 2)
- 2θ = 57.74°, rel. 19, (2 0 1)
- 2θ = 63.64°, rel. 21, (1 1 2)
- 2θ = 70.85°, rel. 10, (1 0 3)
- 2θ = 76.61°, rel. 16, (2 1 1)